# V6PbO11
Calculated powder diffractogram, λ = 1.5418 Å (Cu Kα). Input: a cell relaxed with GGA+U.
Peak positions follow from Bragg's law for the DFT cell and can differ from measured ones.

Largest 6 diffraction maxima, in order of rising 2θ, 2θ from 15° to 90°:
(1 0 1), d = 4.791 Å, 18.52 deg, rel. 58; (0 0 4), d = 3.385 Å, 26.33 deg, rel. 57; (1 1 0), d = 2.957 Å, 30.22 deg, rel. 54; (1 0 4), d = 2.824 Å, 31.69 deg, rel. 62; (1 1 2), d = 2.710 Å, 33.05 deg, rel. 100; (2 0 2), d = 2.395 Å, 37.55 deg, rel. 54

Structure:
a = 5.915 Å, b = 5.915 Å, c = 13.538 Å
α = 90.00°, β = 90.00°, γ = 120.00°
Positions (direct):
V (0.000, 0.000, 0.000)
V (0.000, 0.000, 0.207)
V (0.000, 0.000, 0.500)
V (0.000, 0.000, 0.707)
V (0.002, 0.501, 0.352)
V (0.333, 0.667, 0.606)
V (0.499, 0.501, 0.352)
V (0.499, 0.998, 0.352)
V (0.501, 0.002, 0.852)
V (0.501, 0.499, 0.852)
V (0.667, 0.333, 0.106)
V (0.998, 0.499, 0.852)
Pb (0.333, 0.667, 0.081)
Pb (0.667, 0.333, 0.581)
O (0.148, 0.295, 0.603)
O (0.148, 0.852, 0.603)
O (0.172, 0.343, 0.278)
O (0.172, 0.828, 0.278)
O (0.177, 0.355, 0.934)
O (0.177, 0.823, 0.934)
O (0.295, 0.148, 0.103)
O (0.333, 0.667, 0.437)
O (0.333, 0.667, 0.769)
O (0.343, 0.172, 0.778)
O (0.355, 0.177, 0.434)
O (0.645, 0.823, 0.934)
O (0.657, 0.828, 0.278)
O (0.667, 0.333, 0.269)
O (0.667, 0.333, 0.937)
O (0.705, 0.852, 0.603)
O (0.823, 0.177, 0.434)
O (0.823, 0.645, 0.434)
O (0.828, 0.172, 0.778)
O (0.828, 0.657, 0.778)
O (0.852, 0.148, 0.103)
O (0.852, 0.705, 0.103)